For Rb2AcMoO6, a cell relaxed with GGA+U gives the theoretical powder diffraction line list in this record (Cu Kα X-rays).
Neutral-atom scattering factors, no anomalous dispersion.

Top 8 peaks for 10 to 90 degrees two-theta, in order of rising 2θ:
two_theta	Rel. int.
19.98	18
28.40	100
33.43	10
40.60	30
50.28	40
58.76	19
66.53	19
80.93	22

Cell and atoms:
a b c (Å): 6.285 6.285 6.285
angles (deg): 60.00 60.00 60.00
Atoms (fractional coordinates):
Rb  0.250  0.250  0.250
Rb  0.750  0.750  0.750
Ac  0.000  0.000  0.000
Mo  0.500  0.500  0.500
O  0.279  0.720  0.282
O  0.280  0.718  0.721
O  0.282  0.279  0.720
O  0.718  0.721  0.280
O  0.720  0.282  0.279
O  0.721  0.280  0.718